Starting from a structure optimized by DFT (PBE), the powder diffractogram of SrBr3 was simulated for λ = 1.5418 Å (Cu Kα).
Intensities are scaled so that the largest is 100.

Principal peaks in the range 15° ≤ 2θ ≤ 90°, by angle:
two_theta, intensity
29.66, 33
30.52, 22
34.04, 100
43.08, 17
54.24, 17
55.48, 24
63.04, 21
65.61, 14

Cell and atoms:
```
8
Lattice="6.7641 0.0000 0.0000 -3.3820 5.8578 0.0000 0.0000 0.0000 6.0243" Properties=species:S:1:pos:R:3 pbc="T T T"
Sr 0.0000 3.9052 1.5061
Sr 3.3820 1.9526 4.5182
Br 0.0000 2.0233 4.5182
Br -1.6298 4.8462 4.5182
Br 1.7522 1.0116 1.5061
Br 1.6298 4.8462 4.5182
Br 5.0119 1.0116 1.5061
Br 3.3820 3.8346 1.5061
```



Starting from a structure optimized by DFT (PBE), the powder diffractogram of SrBr2 was simulated for λ = 1.5418 Å (Cu Kα).
Intensities are scaled so that the largest is 100.

Principal peaks in the range 15° ≤ 2θ ≤ 90°, by angle:
two_theta, intensity
20.86, 43
26.95, 100
29.91, 53
30.05, 62
33.78, 92
34.12, 88
34.53, 87
41.04, 56

Cell and atoms:
```
30
Lattice="11.7513 0.0000 0.0000 0.0000 11.7513 0.0000 0.0000 0.0000 7.2638" Properties=species:S:1:pos:R:3 pbc="T T T"
Sr 0.9995 7.0995 1.8005
Sr 1.2239 10.7517 5.4633
Sr 2.9378 2.9378 1.0936
Sr 4.6518 6.8752 5.4633
Sr 4.8761 10.5274 1.8005
Sr 6.8752 1.2239 5.4633
Sr 7.0995 4.8761 1.8005
Sr 8.8135 8.8135 6.1702
Sr 10.5274 0.9995 1.8005
Sr 10.7517 4.6518 5.4633
Br 0.4738 4.0881 2.7329
Br 0.5018 1.8908 6.5629
Br 1.7875 0.4738 2.7329
Br 1.8908 5.3738 6.5629
Br 2.9378 8.8135 0.0000
Br 2.9378 8.8135 3.6319
Br 3.9848 0.5018 6.5629
Br 4.0881 5.4019 2.7329
Br 5.3738 3.9848 6.5629
Br 5.4019 1.7875 2.7329
Br 6.3494 9.9638 4.5309
Br 6.3775 7.7665 0.7009
Br 7.6631 6.3494 4.5309
Br 7.7665 11.2494 0.7009
Br 8.8135 2.9378 0.0000
Br 8.8135 2.9378 3.6319
Br 9.8604 6.3775 0.7009
Br 9.9638 11.2775 4.5309
Br 11.2494 9.8604 0.7009
Br 11.2775 7.6631 4.5309
```



Starting from a structure optimized by DFT (PBE), the powder diffractogram of SrBr2 was simulated for λ = 1.5418 Å (Cu Kα).
Intensities are scaled so that the largest is 100.

Principal peaks in the range 15° ≤ 2θ ≤ 90°, by angle:
two_theta, intensity
17.50, 67
25.81, 100
27.84, 36
33.82, 78
35.43, 36
38.17, 26
42.42, 62
53.06, 22

Cell and atoms:
```
6
Lattice="7.1663 0.0000 0.0000 0.0000 7.1663 0.0000 0.0000 0.0000 4.7157" Properties=species:S:1:pos:R:3 pbc="T T T"
Sr 0.0000 0.0000 0.0000
Sr 3.5832 3.5832 2.3578
Br 1.4054 1.4054 2.3578
Br 2.1777 4.9886 0.0000
Br 4.9886 2.1777 0.0000
Br 5.7609 5.7609 2.3578
```



Starting from a structure optimized by DFT (PBE), the powder diffractogram of SrThBr6 was simulated for λ = 1.5418 Å (Cu Kα).
Intensities are scaled so that the largest is 100.

Principal peaks in the range 15° ≤ 2θ ≤ 90°, by angle:
two_theta, intensity
28.80, 27
28.99, 31
30.37, 100
31.55, 35
36.19, 53
40.72, 28
41.00, 26
44.75, 27

Cell and atoms:
```
16
Lattice="9.3786 0.0000 0.0000 0.0000 4.2855 0.0000 0.0000 0.0000 13.4706" Properties=species:S:1:pos:R:3 pbc="T T T"
Sr 2.3446 0.0000 3.1119
Sr 7.0339 0.0000 10.3587
Th 2.3446 2.1427 10.0818
Th 7.0339 2.1427 3.3888
Br 0.4294 2.1427 4.6252
Br 0.7187 0.0000 11.4839
Br 2.3446 0.0000 8.0574
Br 2.3446 2.1427 1.0177
Br 3.9706 0.0000 11.4839
Br 4.2599 2.1427 4.6252
Br 5.1187 2.1427 8.8454
Br 5.4080 0.0000 1.9868
Br 7.0339 0.0000 5.4132
Br 7.0339 2.1427 12.4529
Br 8.6599 0.0000 1.9868
Br 8.9492 2.1427 8.8454
```



Starting from a structure optimized by DFT (PBE), the powder diffractogram of Sr2TlBr5 was simulated for λ = 1.5418 Å (Cu Kα).
Intensities are scaled so that the largest is 100.

Principal peaks in the range 15° ≤ 2θ ≤ 90°, by angle:
two_theta, intensity
28.41, 42
29.01, 45
29.35, 74
31.24, 100
32.24, 35
32.59, 42
38.13, 39
39.87, 43

Cell and atoms:
```
32
Lattice="9.4417 0.0000 0.0000 0.0000 8.5101 0.0000 -0.0066 0.0000 13.5119" Properties=species:S:1:pos:R:3 pbc="T T T"
Sr 9.4390 0.1957 2.4187
Sr 9.4357 4.0594 9.1747
Sr -0.0006 4.4508 4.3372
Sr -0.0039 8.3144 11.0932
Sr 2.3451 4.8938 0.0920
Sr 2.3418 7.8714 6.8480
Sr 7.0932 0.6387 6.6639
Sr 7.0899 3.6163 13.4199
Tl 4.6355 4.3811 4.3506
Tl 4.6321 8.3841 11.1066
Tl 4.8029 0.1260 2.4053
Tl 4.7996 4.1290 9.1613
Br 0.3959 1.3724 5.4211
Br 0.3926 2.8826 12.1770
Br 2.0428 4.6383 6.7944
Br 2.0461 8.1269 0.0385
Br 2.0581 1.3788 9.2485
Br 2.0614 2.8763 2.4925
Br 2.1301 5.9096 10.5872
Br 2.1334 6.8556 3.8312
Br 4.3656 1.3793 5.5411
Br 4.3623 2.8757 12.2970
Br 5.0728 5.6344 1.2149
Br 5.0694 7.1308 7.9708
Br 7.3017 1.6545 9.6807
Br 7.3050 2.6005 2.9247
Br 7.3736 5.6339 11.0194
Br 7.3770 7.1313 4.2634
Br 7.3890 0.3832 13.4734
Br 7.3923 3.8719 6.7175
Br 9.0425 5.6275 1.3349
Br 9.0392 7.1377 8.0908
```



Starting from a structure optimized by DFT (PBE), the powder diffractogram of Tb6Br7 was simulated for λ = 1.5418 Å (Cu Kα).
Intensities are scaled so that the largest is 100.

Principal peaks in the range 15° ≤ 2θ ≤ 90°, by angle:
two_theta, intensity
28.38, 26
31.70, 23
31.83, 100
31.98, 38
34.27, 20
44.85, 27
46.62, 23
47.75, 17

Cell and atoms:
```
13
Lattice="10.6562 -1.9046 0.0000 10.6562 1.9046 0.0000 -6.3805 0.0000 9.8641" Properties=species:S:1:pos:R:3 pbc="T T T"
Tb 2.3541 0.0000 0.5705
Tb 0.6596 0.0000 6.4953
Tb 5.9021 0.0000 1.3509
Tb 9.0299 0.0000 8.5132
Tb 14.2723 0.0000 3.3688
Tb 12.5778 0.0000 9.2936
Br -3.7955 0.0000 7.6265
Br 1.3511 0.0000 3.4022
Br 5.5509 0.0000 4.3306
Br 10.6562 0.0000 0.0000
Br 9.3811 0.0000 5.5335
Br 13.5808 0.0000 6.4619
Br 18.7274 0.0000 2.2377
```



Starting from a structure optimized by DFT (PBE), the powder diffractogram of TbBr was simulated for λ = 1.5418 Å (Cu Kα).
Intensities are scaled so that the largest is 100.

Principal peaks in the range 15° ≤ 2θ ≤ 90°, by angle:
two_theta, intensity
29.05, 100
33.22, 29
34.95, 44
40.99, 18
47.37, 29
56.53, 15
59.10, 15
79.93, 15

Cell and atoms:
```
4
Lattice="1.9190 1.1079 10.7771 -1.9190 1.1079 10.7771 0.0000 -2.2159 10.7771" Properties=species:S:1:pos:R:3 pbc="T T T"
Tb 0.0000 0.0000 3.9916
Tb 0.0000 0.0000 28.3396
Br 0.0000 0.0000 12.8464
Br 0.0000 0.0000 19.4848
```



Question: Number 2 is which compound?
Answer: SrBr2